1.
Diffraction record for Ac5MgRh4. The powder diffraction line list is simulated, not measured: it uses a crystal structure in Alexandria, relaxed with PBE and Cu Kα (weighted mean of Kα1 and Kα2).
Neutral-atom scattering factors, no anomalous dispersion.

Atomic structure:
a b c (Å): 8.3656 9.9535 7.3623
angles (deg): 90.00 90.00 90.00
Space group Pmmn (No. 59, origin choice 2)
Unique sites:
Ac (0.0144, 0.0581, 0.2396) (multiplicity 8)
Ac (0.2500, 0.2500, 0.7488) (multiplicity 2)
Mg (0.2500, 0.7500, 0.3816) (multiplicity 2)
Rh (0.0776, 0.7500, 0.0563) (multiplicity 4)
Rh (0.2500, 0.0027, 0.5226) (multiplicity 4)

Main lines, most intense first (2θ from 10° to 80°):
2θ/deg	I_rel
37.22	100
29.53	82
26.09	48
27.90	41
52.40	31
32.40	31
24.18	29
36.66	27
53.25	24
21.24	21
64.23	20
17.82	19

2.
Diffraction record for Zr3AlH2. The powder diffraction line list is simulated, not measured: it uses a crystal structure in Alexandria, relaxed with PBE and Cu Kα (weighted mean of Kα1 and Kα2).
Neutral-atom scattering factors, no anomalous dispersion.

Atomic structure:
a b c (Å): 22.3431 3.0779 5.6466
angles (deg): 90.00 104.40 90.00
Space group C2/m (No. 12)
Unique sites:
Zr (0.0339, 0.0000, 0.2756) (multiplicity 4)
Zr (0.1053, 0.5000, 0.8531) (multiplicity 4)
Zr (0.2377, 0.0000, 0.7446) (multiplicity 4)
Al (0.1467, 0.5000, 0.3868) (multiplicity 4)
H (0.0526, 0.0000, 0.6569) (multiplicity 4)
H (0.2020, 0.5000, 0.9121) (multiplicity 4)

Main lines, most intense first (2θ from 10° to 80°):
2θ/deg	I_rel
33.11	100
32.78	82
34.21	79
37.16	75
35.80	68
31.63	53
45.37	45
40.72	27
24.68	24
32.97	22
70.36	22
41.79	21

3.
Diffraction record for ZnSbAs. The powder diffraction line list is simulated, not measured: it uses a crystal structure in Alexandria, relaxed with PBE and Cu Kα (weighted mean of Kα1 and Kα2).
Neutral-atom scattering factors, no anomalous dispersion.

Atomic structure:
a b c (Å): 6.7826 6.7826 6.7826
angles (deg): 90.00 90.00 90.00
Space group F-43m (No. 216)
Unique sites:
Zn (0.0000, 0.0000, 0.0000) (multiplicity 4)
Sb (0.2500, 0.2500, 0.2500) (multiplicity 4)
As (0.0000, 0.0000, 0.5000) (multiplicity 4)

Main lines, most intense first (2θ from 10° to 80°):
2θ/deg	I_rel
37.51	100
22.71	50
67.67	34
44.29	25
54.08	17
59.40	10
72.40	8
26.28	1

4.
Diffraction record for CdBi2H2Pd7. The powder diffraction line list is simulated, not measured: it uses a crystal structure in Alexandria, relaxed with PBE and Cu Kα (weighted mean of Kα1 and Kα2).
Neutral-atom scattering factors, no anomalous dispersion.

Atomic structure:
a b c (Å): 5.7790 5.7752 11.6092
angles (deg): 90.00 104.14 90.00
Space group C2/m (No. 12)
Unique sites:
Cd (0.0000, 0.0000, 0.0000) (multiplicity 2)
Bi (0.1909, 0.0000, 0.3849) (multiplicity 4)
H (0.0843, 0.5000, 0.1676) (multiplicity 4)
Pd (0.0000, 0.5000, 0.0000) (multiplicity 2)
Pd (0.1598, 0.2499, 0.8172) (multiplicity 8)
Pd (0.1785, 0.5000, 0.3609) (multiplicity 4)

Main lines, most intense first (2θ from 10° to 80°):
2θ/deg	I_rel
39.40	100
44.35	72
39.26	35
31.99	34
34.89	34
40.05	31
64.52	23
30.96	21
78.18	18
61.39	18
61.16	17
78.36	17

5.
Diffraction record for AgIrRh2. The powder diffraction line list is simulated, not measured: it uses a crystal structure in Alexandria, relaxed with PBE and Cu Kα (weighted mean of Kα1 and Kα2).
Neutral-atom scattering factors, no anomalous dispersion.

Atomic structure:
a b c (Å): 2.7530 2.7530 7.9927
angles (deg): 90.00 90.00 90.00
Space group P4mm (No. 99)
Unique sites:
Ag (0.0000, 0.0000, 0.0000) (multiplicity 1)
Ir (0.5000, 0.5000, 0.2703) (multiplicity 1)
Rh (0.0000, 0.0000, 0.4996) (multiplicity 1)
Rh (0.5000, 0.5000, 0.7331) (multiplicity 1)

Main lines, most intense first (2θ from 10° to 80°):
2θ/deg	I_rel
39.76	100
46.66	32
67.13	19
45.39	16
11.07	15
68.12	10
34.46	5
47.49	4
33.64	3
67.79	3
58.74	2
22.24	2

6.
Diffraction record for Na4Tm3GeTe8. The powder diffraction line list is simulated, not measured: it uses a crystal structure in Alexandria, relaxed with PBE and Cu Kα (weighted mean of Kα1 and Kα2).
Neutral-atom scattering factors, no anomalous dispersion.

Atomic structure:
a b c (Å): 8.6946 8.6946 22.7329
angles (deg): 90.00 90.00 120.00
Space group R-3m (No. 166, hexagonal axes)
Unique sites:
Na (0.0000, 0.0000, 0.0000) (multiplicity 3)
Na (0.0000, 0.5000, 0.0000) (multiplicity 9)
Tm (0.0000, 0.5000, 0.5000) (multiplicity 9)
Ge (0.0000, 0.0000, 0.5000) (multiplicity 3)
Te (0.0000, 0.0000, 0.2437) (multiplicity 6)
Te (0.0063, 0.5032, 0.2414) (multiplicity 18)

Main lines, most intense first (2θ from 10° to 80°):
2θ/deg	I_rel
28.44	100
11.68	38
39.74	38
41.55	37
51.11	19
67.90	16
65.34	15
36.54	13
58.84	12
74.59	11
23.96	10
43.30	10